# Nd4Sn8Au
Calculated XRD peak list, CuKα. Input: a cell relaxed with GGA-PBE.
Neutral-atom scattering factors, no anomalous dispersion.

Cell and atoms:
```
data_Nd4Sn8Au
_chemical_formula_sum 'Nd4 Sn8 Au1'
_cell_length_a 4.438
_cell_length_b 4.508
_cell_length_c 17.955
_cell_angle_alpha 90.00
_cell_angle_beta 90.00
_cell_angle_gamma 90.00
_symmetry_space_group_name_H-M 'P 1'
_symmetry_Int_Tables_number 1
loop_
_symmetry_equiv_pos_as_xyz
'x,y,z'
loop_
_atom_site_label
_atom_site_type_symbol
_atom_site_fract_x
_atom_site_fract_y
_atom_site_fract_z
Nd1 Nd 0.000 0.000 0.000
Nd2 Nd 0.000 0.500 0.475
Nd3 Nd 0.500 0.000 0.788
Nd4 Nd 0.500 0.500 0.282
Sn1 Sn 0.000 0.000 0.318
Sn2 Sn 0.000 0.000 0.618
Sn3 Sn 0.000 0.500 0.139
Sn4 Sn 0.000 0.500 0.863
Sn5 Sn 0.500 0.000 0.144
Sn6 Sn 0.500 0.000 0.431
Sn7 Sn 0.500 0.500 0.616
Sn8 Sn 0.500 0.500 0.971
Au1 Au 0.000 0.500 0.715
```

Most intense lines, 2θ = 15–90°, in order of falling intensity:
2theta	Rel. int.	index
32.01	100	1 1 3
40.66	23	2 0 0
40.00	21	0 2 0
58.36	16	2 2 0
67.66	13	1 3 3
68.59	12	3 1 3
31.86	10	0 1 5
34.70	10	1 1 4